(1)
Diffraction record for YHoFe8B2. The X-ray powder pattern is simulated, not measured: it uses a DFT-relaxed cell (PBE, OQMD) and Cu Kα X-rays.

```
data_YHoFe8B2
_symmetry_space_group_name_H-M 'P 6/m m m'
_symmetry_Int_Tables_number 191
_symmetry_space_group_name_Hall '-P 6 2'
_cell_length_a 5.0601
_cell_length_b 5.0601
_cell_length_c 7.0179
_cell_angle_alpha 90.00
_cell_angle_beta 90.00
_cell_angle_gamma 120.00
loop_
_atom_site_label
_atom_site_type_symbol
_atom_site_fract_x
_atom_site_fract_y
_atom_site_fract_z
Y1 Y 0.0000 0.0000 0.0000
Ho1 Ho 0.0000 0.0000 0.5000
Fe1 Fe 0.0000 0.5000 0.2140
Fe2 Fe 0.3333 0.6667 0.5000
B1 B 0.3333 0.6667 0.0000
```

Peak list (6 most intense, 2θ = 10–80°, sorted by position)
32.7°, rel. 82, hkl 1 0 2; 35.5°, rel. 28, hkl 1 1 0; 37.8°, rel. 26, hkl 1 1 1; 41.2°, rel. 74, hkl 2 0 0; 44.1°, rel. 100, hkl 1 1 2; 62.0°, rel. 26, hkl 2 1 2



(2)
Diffraction record for InFe2B. The X-ray powder pattern is simulated, not measured: it uses a DFT-relaxed cell (PBE, OQMD) and Cu Kα X-rays.

```
data_InFe2B
_symmetry_space_group_name_H-M 'P m -3 m'
_symmetry_Int_Tables_number 221
_symmetry_space_group_name_Hall '-P 4 2 3'
_cell_length_a 5.8073
_cell_length_b 5.8073
_cell_length_c 5.8073
_cell_angle_alpha 90.00
_cell_angle_beta 90.00
_cell_angle_gamma 90.00
loop_
_atom_site_label
_atom_site_type_symbol
_atom_site_fract_x
_atom_site_fract_y
_atom_site_fract_z
In1 In 0.0000 0.0000 0.0000
In2 In 0.0000 0.0000 0.5000
Fe1 Fe 0.2933 0.2933 0.2933
B1 B 0.0000 0.5000 0.5000
B2 B 0.5000 0.5000 0.5000
```

Peak list (6 most intense, 2θ = 10–80°, sorted by position)
26.6°, rel. 19, hkl 1 1 1; 34.5°, rel. 61, hkl 2 1 0; 44.1°, rel. 100, hkl 2 2 0; 46.9°, rel. 22, hkl 3 0 0; 64.1°, rel. 11, hkl 4 0 0; 66.4°, rel. 19, hkl 3 2 2



(3)
Diffraction record for Lu2FeB4Ir4. The X-ray powder pattern is simulated, not measured: it uses a DFT-relaxed cell (PBE, OQMD) and Cu Kα X-rays.

```
data_Lu2FeB4Ir4
_symmetry_space_group_name_H-M 'F m m m'
_symmetry_Int_Tables_number 69
_symmetry_space_group_name_Hall '-F 2 2'
_cell_length_a 5.4348
_cell_length_b 9.2368
_cell_length_c 11.4036
_cell_angle_alpha 90.00
_cell_angle_beta 90.00
_cell_angle_gamma 90.00
loop_
_atom_site_label
_atom_site_type_symbol
_atom_site_fract_x
_atom_site_fract_y
_atom_site_fract_z
Lu1 Lu 0.0000 0.0000 0.1358
Fe1 Fe 0.0000 0.0000 0.5000
B1 B 0.0000 0.1421 0.3679
Ir1 Ir 0.2500 0.2500 0.0000
Ir2 Ir 0.2500 0.2500 0.2500
```

Peak list (6 most intense, 2θ = 10–80°, sorted by position)
30.3°, rel. 31, hkl 1 1 3; 37.1°, rel. 87, hkl 0 2 4; 38.4°, rel. 100, hkl 2 2 0; 39.0°, rel. 46, hkl 0 4 0; 46.1°, rel. 51, hkl 2 0 4; 62.0°, rel. 39, hkl 2 4 4



(4)
Diffraction record for Tm2Fe2B4Ir3. The X-ray powder pattern is simulated, not measured: it uses a DFT-relaxed cell (PBE, OQMD) and Cu Kα X-rays.

```
data_Tm2Fe2B4Ir3
_symmetry_space_group_name_H-M 'F m m m'
_symmetry_Int_Tables_number 69
_symmetry_space_group_name_Hall '-F 2 2'
_cell_length_a 5.3445
_cell_length_b 9.4833
_cell_length_c 11.3905
_cell_angle_alpha 90.00
_cell_angle_beta 90.00
_cell_angle_gamma 90.00
loop_
_atom_site_label
_atom_site_type_symbol
_atom_site_fract_x
_atom_site_fract_y
_atom_site_fract_z
Tm1 Tm 0.0000 0.0000 0.1374
Fe1 Fe 0.2500 0.2500 0.0000
B1 B 0.0000 0.1660 0.3755
Ir1 Ir 0.0000 0.0000 0.5000
Ir2 Ir 0.2500 0.2500 0.2500
```

Peak list (6 most intense, 2θ = 10–80°, sorted by position)
24.4°, rel. 50, hkl 0 2 2; 30.4°, rel. 81, hkl 1 1 3; 36.8°, rel. 42, hkl 0 2 4; 38.0°, rel. 53, hkl 0 4 0; 38.7°, rel. 100, hkl 2 2 0; 40.8°, rel. 42, hkl 1 3 3



(5)
Diffraction record for Tm2Fe2B4Ir3. The X-ray powder pattern is simulated, not measured: it uses a DFT-relaxed cell (PBE, OQMD) and Cu Kα X-rays.

```
data_Tm2Fe2B4Ir3
_symmetry_space_group_name_H-M 'F m m m'
_symmetry_Int_Tables_number 69
_symmetry_space_group_name_Hall '-F 2 2'
_cell_length_a 5.3196
_cell_length_b 9.5267
_cell_length_c 11.0608
_cell_angle_alpha 90.00
_cell_angle_beta 90.00
_cell_angle_gamma 90.00
loop_
_atom_site_label
_atom_site_type_symbol
_atom_site_fract_x
_atom_site_fract_y
_atom_site_fract_z
Tm1 Tm 0.0000 0.0000 0.1461
Fe1 Fe 0.2500 0.2500 0.2500
B1 B 0.0000 0.1593 0.3581
Ir1 Ir 0.0000 0.0000 0.5000
Ir2 Ir 0.2500 0.2500 0.0000
```

Peak list (6 most intense, 2θ = 10–80°, sorted by position)
16.0°, rel. 52, hkl 0 0 2; 31.0°, rel. 84, hkl 1 1 3; 37.6°, rel. 40, hkl 0 2 4; 37.8°, rel. 53, hkl 0 4 0; 38.8°, rel. 100, hkl 2 2 0; 41.2°, rel. 57, hkl 1 3 3



(6)
Diffraction record for Y2Fe2B4Ir3. The X-ray powder pattern is simulated, not measured: it uses a DFT-relaxed cell (PBE, OQMD) and Cu Kα X-rays.

```
data_Y2Fe2B4Ir3
_symmetry_space_group_name_H-M 'F m m m'
_symmetry_Int_Tables_number 69
_symmetry_space_group_name_Hall '-F 2 2'
_cell_length_a 5.3682
_cell_length_b 9.6207
_cell_length_c 11.3378
_cell_angle_alpha 90.00
_cell_angle_beta 90.00
_cell_angle_gamma 90.00
loop_
_atom_site_label
_atom_site_type_symbol
_atom_site_fract_x
_atom_site_fract_y
_atom_site_fract_z
Y1 Y 0.0000 0.0000 0.1392
Fe1 Fe 0.2500 0.2500 0.0000
B1 B 0.0000 0.1665 0.3760
Ir1 Ir 0.0000 0.0000 0.5000
Ir2 Ir 0.2500 0.2500 0.2500
```

Peak list (6 most intense, 2θ = 10–80°, sorted by position)
24.3°, rel. 77, hkl 0 2 2; 30.4°, rel. 58, hkl 1 1 3; 36.8°, rel. 33, hkl 0 2 4; 37.4°, rel. 54, hkl 0 4 0; 38.4°, rel. 100, hkl 2 2 0; 50.5°, rel. 36, hkl 2 2 4



(7)
Diffraction record for LaPr2Fe2B2N3. The X-ray powder pattern is simulated, not measured: it uses a DFT-relaxed cell (PBE, OQMD) and Cu Kα X-rays.

```
data_LaPr2Fe2B2N3
_symmetry_space_group_name_H-M 'I 4/m m m'
_symmetry_Int_Tables_number 139
_symmetry_space_group_name_Hall '-I 4 2'
_cell_length_a 3.6302
_cell_length_b 3.6302
_cell_length_c 21.0279
_cell_angle_alpha 90.00
_cell_angle_beta 90.00
_cell_angle_gamma 90.00
loop_
_atom_site_label
_atom_site_type_symbol
_atom_site_fract_x
_atom_site_fract_y
_atom_site_fract_z
La1 La 0.0000 0.0000 0.0000
Pr1 Pr 0.0000 0.0000 0.3727
Fe1 Fe 0.0000 0.5000 0.2500
B1 B 0.0000 0.0000 0.1908
N1 N 0.0000 0.0000 0.1212
N2 N 0.0000 0.0000 0.5000
```

Peak list (6 most intense, 2θ = 10–80°, sorted by position)
27.7°, rel. 100, hkl 1 0 3; 32.6°, rel. 68, hkl 1 0 5; 34.1°, rel. 52, hkl 0 0 8; 35.0°, rel. 40, hkl 1 1 0; 36.0°, rel. 36, hkl 1 1 2; 50.3°, rel. 37, hkl 2 0 0



(8)
Diffraction record for LaFe2SiB. The X-ray powder pattern is simulated, not measured: it uses a DFT-relaxed cell (PBE, OQMD) and Cu Kα X-rays.

```
data_LaFe2SiB
_symmetry_space_group_name_H-M 'I 4 m m'
_symmetry_Int_Tables_number 107
_symmetry_space_group_name_Hall 'I 4 -2'
_cell_length_a 3.8428
_cell_length_b 3.8428
_cell_length_c 10.2938
_cell_angle_alpha 90.00
_cell_angle_beta 90.00
_cell_angle_gamma 90.00
loop_
_atom_site_label
_atom_site_type_symbol
_atom_site_fract_x
_atom_site_fract_y
_atom_site_fract_z
La1 La 0.0000 0.0000 0.0000
Fe1 Fe 0.0000 0.5000 0.2766
Si1 Si 0.0000 0.0000 0.6670
B1 B 0.0000 0.0000 0.3391
```

Peak list (6 most intense, 2θ = 10–80°, sorted by position)
24.7°, rel. 74, hkl 1 0 1; 34.9°, rel. 26, hkl 0 0 4; 35.1°, rel. 64, hkl 1 0 3; 37.4°, rel. 100, hkl 1 1 2; 47.3°, rel. 38, hkl 2 0 0; 60.2°, rel. 26, hkl 2 1 3